[1]
Starting from a GGA-PBE-relaxed structure, the powder diffraction line list of Dy4Zn3Co2 was calculated for CuKα.
Intensities are scaled so that the largest is 100.

Atomic structure:
Cell lengths 6.9891, 3.6369, 7.5604 Å; angles 90.00, 106.61, 90.00 degrees
Element x y z (fractional)
Dy: 0.0847 0.0000 0.2226
Dy: 0.3939 0.0000 0.7043
Dy: 0.6061 0.0000 0.2957
Dy: 0.9153 0.0000 0.7774
Zn: 0.0000 0.5000 0.5000
Zn: 0.3032 0.5000 0.0179
Zn: 0.6968 0.5000 0.9821
Co: 0.3452 0.5000 0.3942
Co: 0.6548 0.5000 0.6058

Largest 10 diffraction maxima, in order of falling intensity, 2θ from 10° to 80°:
35.0 deg, intensity 100.0
36.0 deg, intensity 92.1
32.5 deg, intensity 37.1
24.5 deg, intensity 36.8
39.3 deg, intensity 35.0
50.2 deg, intensity 25.9
41.1 deg, intensity 24.6
25.9 deg, intensity 20.0
32.1 deg, intensity 16.1
65.5 deg, intensity 15.0

---

[2]
Starting from a GGA-PBE-relaxed structure, the powder diffraction line list of DyZrZnCo2 was calculated for CuKα.
Intensities are scaled so that the largest is 100.

Atomic structure:
Cell lengths 5.1352, 5.1352, 5.1352 Å; angles 133.57, 117.30, 81.50 degrees
Element x y z (fractional)
Dy: 0.0000 0.0000 0.0000
Zr: 0.4176 0.4176 0.0000
Zn: 0.7031 0.2031 0.5000
Co: 0.4269 0.7115 0.7154
Co: 0.9961 0.7115 0.2846

Largest 10 diffraction maxima, in order of falling intensity, 2θ from 10° to 80°:
36.2 deg, intensity 100.0
42.2 deg, intensity 42.0
44.8 deg, intensity 26.8
41.0 deg, intensity 24.1
27.6 deg, intensity 23.8
38.6 deg, intensity 21.5
74.3 deg, intensity 20.3
41.3 deg, intensity 18.2
62.3 deg, intensity 13.6
33.5 deg, intensity 13.4